BaVOF4: calculated X-ray powder pattern (a wavelength of 1.5418 Å), based on a crystal structure in Alexandria, relaxed with GGA+U.
Kinematic intensities with the Lorentz-polarization factor, no thermal factor.

Atomic structure:
Lattice parameters (Å, degrees): 8.015 28.180 7.526 90.00 90.00 90.00
Space group Fdd2 (No. 43)
One atom of each set of equivalent atoms:
Ba 0.002 0.304 0.000
V 0.005 0.172 0.000
O 0.090 0.047 0.182
F 0.014 0.383 0.333
F 0.081 0.362 0.704
F 0.084 0.220 0.167
F 0.086 0.450 0.083

Most intense lines, 5° ≤ 2θ ≤ 70°, sorted by position:
23.1°, I 100, (2 2 0); 24.5°, I 80, (0 2 2); 25.3°, I 57, (0 8 0); 27.5°, I 41, (1 7 1); 30.4°, I 37, (0 6 2); 32.6°, I 66, (2 0 2); 39.2°, I 41, (3 5 1); 41.7°, I 79, (2 8 2)